This entry pairs a crystal structure of V3Cr2SnP6O24 with its theoretical X-ray powder pattern. Radiation: copper Kα. Structure: a DFT-relaxed cell (PBE+U, the Materials Project).
Lines closer than 0.1° are merged.

Structure:
```
data_V3Cr2SnP6O24
_chemical_formula_sum 'V3 Cr2 Sn1 P6 O24'
_space_group_name_H-M_alt 'P 1'
_space_group_IT_number 1
_space_group_name_Hall 'P 1'
_cell_length_a 8.6634
_cell_length_b 8.6634
_cell_length_c 8.6634
_cell_angle_alpha 60.09
_cell_angle_beta 60.09
_cell_angle_gamma 60.09
loop_
_atom_site_label
_atom_site_type_symbol
_atom_site_fract_x
_atom_site_fract_y
_atom_site_fract_z
V1 V 0.0000 0.0000 0.0000
V2 V 0.2127 0.2127 0.2127
V3 V 0.4989 0.4989 0.4989
Cr1 Cr 0.3558 0.3558 0.3558
Cr2 Cr 0.8590 0.8590 0.8590
Sn1 Sn 0.7118 0.7118 0.7118
P1 P 0.1103 0.8139 0.3955
P2 P 0.3080 0.6045 0.9021
P3 P 0.3955 0.1103 0.8139
P4 P 0.6045 0.9021 0.3080
P5 P 0.8139 0.3955 0.1103
P6 P 0.9021 0.3080 0.6045
O1 O 0.0453 0.8504 0.2431
O2 O 0.0979 0.2924 0.4431
O3 O 0.1136 0.7677 0.9189
O4 O 0.1710 0.9695 0.3592
O5 O 0.2431 0.0453 0.8504
O6 O 0.2691 0.6160 0.4154
O7 O 0.2924 0.4431 0.0979
O8 O 0.3511 0.5480 0.7417
O9 O 0.3592 0.1710 0.9695
O10 O 0.4154 0.2691 0.6160
O11 O 0.4431 0.0979 0.2924
O12 O 0.4631 0.6661 0.8742
O13 O 0.5480 0.7417 0.3511
O14 O 0.5961 0.9465 0.8002
O15 O 0.6160 0.4154 0.2691
O16 O 0.6661 0.8742 0.4631
O17 O 0.7417 0.3511 0.5480
O18 O 0.7677 0.9189 0.1136
O19 O 0.8002 0.5961 0.9465
O20 O 0.8504 0.2431 0.0453
O21 O 0.8742 0.4631 0.6661
O22 O 0.9189 0.1136 0.7677
O23 O 0.9465 0.8002 0.5961
O24 O 0.9695 0.3592 0.1710
```

Largest 12 diffraction maxima, by angle, 2θ from 10° to 90°:
20.5°, d 4.336, I = 100.0
24.1°, d 3.697, I = 91.8
25.2°, d 3.540, I = 12.4
29.1°, d 3.065, I = 14.2
31.8°, d 2.814, I = 18.2
32.7°, d 2.740, I = 68.6
35.9°, d 2.504, I = 45.2
46.9°, d 1.938, I = 29.5
49.3°, d 1.848, I = 28.0
56.1°, d 1.639, I = 39.6
62.5°, d 1.487, I = 21.8
64.5°, d 1.445, I = 13.7

This entry pairs a crystal structure of V3CrSn2P6O24 with its theoretical X-ray powder pattern. Radiation: copper Kα. Structure: a DFT-relaxed cell (PBE+U, the Materials Project).
Lines closer than 0.1° are merged.

Structure:
```
data_V3CrSn2P6O24
_chemical_formula_sum 'V3 Cr1 Sn2 P6 O24'
_space_group_name_H-M_alt 'P 1'
_space_group_IT_number 1
_space_group_name_Hall 'P 1'
_cell_length_a 8.9953
_cell_length_b 8.9953
_cell_length_c 8.9953
_cell_angle_alpha 57.14
_cell_angle_beta 57.14
_cell_angle_gamma 57.14
loop_
_atom_site_label
_atom_site_type_symbol
_atom_site_fract_x
_atom_site_fract_y
_atom_site_fract_z
V1 V 0.0000 0.0000 0.0000
V2 V 0.2051 0.2051 0.2051
V3 V 0.7040 0.7040 0.7040
Cr1 Cr 0.4991 0.4991 0.4991
Sn1 Sn 0.3541 0.3541 0.3541
Sn2 Sn 0.8530 0.8530 0.8530
P1 P 0.1020 0.8159 0.3887
P2 P 0.3160 0.6019 0.8864
P3 P 0.3887 0.1020 0.8159
P4 P 0.6019 0.8864 0.3160
P5 P 0.8159 0.3887 0.1020
P6 P 0.8864 0.3160 0.6019
O1 O 0.0649 0.8463 0.2238
O2 O 0.0722 0.2898 0.4285
O3 O 0.1314 0.7769 0.9167
O4 O 0.1355 0.9811 0.3610
O5 O 0.2238 0.0649 0.8463
O6 O 0.2756 0.6317 0.4108
O7 O 0.2898 0.4285 0.0722
O8 O 0.3386 0.5739 0.7225
O9 O 0.3610 0.1355 0.9811
O10 O 0.4108 0.2756 0.6317
O11 O 0.4285 0.0722 0.2898
O12 O 0.4816 0.6355 0.8604
O13 O 0.5727 0.9272 0.7905
O14 O 0.5739 0.7225 0.3386
O15 O 0.6317 0.4108 0.2756
O16 O 0.6355 0.8604 0.4816
O17 O 0.7225 0.3386 0.5739
O18 O 0.7769 0.9167 0.1314
O19 O 0.7905 0.5727 0.9272
O20 O 0.8463 0.2237 0.0649
O21 O 0.8604 0.4816 0.6355
O22 O 0.9167 0.1314 0.7769
O23 O 0.9272 0.7905 0.5727
O24 O 0.9811 0.3610 0.1355
```

Largest 12 diffraction maxima, by angle, 2θ from 10° to 90°:
14.3°, d 6.212, I = 17.0
20.6°, d 4.302, I = 97.1
23.8°, d 3.732, I = 65.6
25.2°, d 3.537, I = 28.6
31.7°, d 2.827, I = 100.0
32.8°, d 2.732, I = 23.6
36.2°, d 2.484, I = 34.3
43.7°, d 2.070, I = 19.4
45.6°, d 1.990, I = 28.6
48.8°, d 1.866, I = 34.2
56.6°, d 1.626, I = 24.4
62.2°, d 1.492, I = 22.7

This entry pairs a crystal structure of SrCrP2O7 with its theoretical X-ray powder pattern. Radiation: copper Kα. Structure: a DFT-relaxed cell (PBE+U, the Materials Project).
Lines closer than 0.1° are merged.

Structure:
```
data_SrCrP2O7
_chemical_formula_sum 'Sr4 Cr4 P8 O28'
_space_group_name_H-M_alt 'P 1'
_space_group_IT_number 1
_space_group_name_Hall 'P 1'
_cell_length_a 5.4947
_cell_length_b 8.4384
_cell_length_c 13.8539
_cell_angle_alpha 90.00
_cell_angle_beta 112.94
_cell_angle_gamma 90.00
loop_
_atom_site_label
_atom_site_type_symbol
_atom_site_fract_x
_atom_site_fract_y
_atom_site_fract_z
Sr1 Sr 0.0000 0.0864 0.0000
Sr2 Sr 0.0000 0.9136 0.5000
Sr3 Sr 0.9795 0.4101 0.5544
Sr4 Sr 0.9795 0.5899 0.0544
Cr1 Cr 0.3093 0.3955 0.8856
Cr2 Cr 0.3093 0.6045 0.3856
Cr3 Cr 0.6698 0.1037 0.6665
Cr4 Cr 0.6698 0.8963 0.1665
P1 P 0.3187 0.0511 0.7924
P2 P 0.3187 0.9489 0.2924
P3 P 0.4023 0.2121 0.4402
P4 P 0.4023 0.7879 0.9402
P5 P 0.5828 0.2901 0.1130
P6 P 0.5828 0.7099 0.6130
P7 P 0.6610 0.4484 0.7600
P8 P 0.6610 0.5516 0.2600
O1 O 0.1165 0.0622 0.6802
O2 O 0.1165 0.9378 0.1802
O3 O 0.1844 0.1899 0.4812
O4 O 0.1844 0.8101 0.9812
O5 O 0.2442 0.1518 0.8702
O6 O 0.2442 0.8482 0.3702
O7 O 0.3064 0.1325 0.3256
O8 O 0.3064 0.8675 0.8256
O9 O 0.3264 0.3756 0.0412
O10 O 0.3264 0.6244 0.5412
O11 O 0.3730 0.4153 0.7468
O12 O 0.3730 0.5847 0.2468
O13 O 0.4662 0.3843 0.4257
O14 O 0.4662 0.6157 0.9257
O15 O 0.5154 0.1175 0.1250
O16 O 0.5154 0.8825 0.6250
O17 O 0.6074 0.0824 0.8057
O18 O 0.6074 0.9176 0.3057
O19 O 0.6636 0.1303 0.5118
O20 O 0.6636 0.8697 0.0118
O21 O 0.6727 0.3670 0.2283
O22 O 0.6727 0.6330 0.7283
O23 O 0.7318 0.3489 0.6807
O24 O 0.7318 0.6511 0.1807
O25 O 0.8076 0.3112 0.0756
O26 O 0.8076 0.6888 0.5756
O27 O 0.8655 0.4366 0.8718
O28 O 0.8655 0.5634 0.3718
```

Largest 12 diffraction maxima, by angle, 2θ from 10° to 90°:
12.6°, d 7.038, I = 26.8
13.9°, d 6.379, I = 30.2
26.4°, d 3.375, I = 98.2
26.6°, d 3.347, I = 96.6
27.6°, d 3.235, I = 39.3
28.7°, d 3.114, I = 50.7
29.8°, d 2.995, I = 28.5
30.2°, d 2.958, I = 34.8
32.6°, d 2.747, I = 100.0
34.1°, d 2.631, I = 22.4
43.9°, d 2.062, I = 35.2
44.6°, d 2.030, I = 36.6

This entry pairs a crystal structure of SrCrP2O8 with its theoretical X-ray powder pattern. Radiation: copper Kα. Structure: a DFT-relaxed cell (PBE+U, the Materials Project).
Lines closer than 0.1° are merged.

Structure:
```
data_SrCrP2O8
_chemical_formula_sum 'Sr2 Cr2 P4 O16'
_space_group_name_H-M_alt 'P 1'
_space_group_IT_number 1
_space_group_name_Hall 'P 1'
_cell_length_a 5.6488
_cell_length_b 7.1257
_cell_length_c 9.1126
_cell_angle_alpha 110.12
_cell_angle_beta 101.80
_cell_angle_gamma 99.36
loop_
_atom_site_label
_atom_site_type_symbol
_atom_site_fract_x
_atom_site_fract_y
_atom_site_fract_z
Sr1 Sr 0.2483 0.2704 0.0370
Sr2 Sr 0.7517 0.7296 0.9630
Cr1 Cr 0.3321 0.6573 0.4426
Cr2 Cr 0.6679 0.3427 0.5574
P1 P 0.1465 0.4716 0.6929
P2 P 0.4035 0.9347 0.2379
P3 P 0.5965 0.0653 0.7621
P4 P 0.8535 0.5284 0.3071
O1 O 0.0243 0.7419 0.4365
O2 O 0.0623 0.4041 0.2988
O3 O 0.1776 0.9433 0.1182
O4 O 0.2736 0.4879 0.8620
O5 O 0.3550 0.7223 0.2607
O6 O 0.3598 0.5435 0.6199
O7 O 0.3610 0.0381 0.8142
O8 O 0.4282 0.1072 0.4097
O9 O 0.5718 0.8928 0.5903
O10 O 0.6390 0.9619 0.1858
O11 O 0.6402 0.4565 0.3801
O12 O 0.6450 0.2777 0.7393
O13 O 0.7264 0.5121 0.1380
O14 O 0.8224 0.0567 0.8818
O15 O 0.9377 0.5959 0.7012
O16 O 0.9757 0.2581 0.5635
```

Largest 12 diffraction maxima, by angle, 2θ from 10° to 90°:
13.7°, d 6.471, I = 31.5
20.5°, d 4.325, I = 29.1
21.2°, d 4.184, I = 38.8
21.9°, d 4.052, I = 89.0
27.6°, d 3.227, I = 100.0
28.2°, d 3.167, I = 29.8
29.3°, d 3.053, I = 26.5
30.4°, d 2.938, I = 55.7
31.6°, d 2.835, I = 36.5
32.2°, d 2.784, I = 29.9
32.6°, d 2.746, I = 27.0
41.9°, d 2.156, I = 21.7

This entry pairs a crystal structure of SrCrP2O7 with its theoretical X-ray powder pattern. Radiation: copper Kα. Structure: a DFT-relaxed cell (PBE+U, the Materials Project).
Lines closer than 0.1° are merged.

Structure:
```
data_SrCrP2O7
_chemical_formula_sum 'Sr4 Cr4 P8 O28'
_space_group_name_H-M_alt 'P 1'
_space_group_IT_number 1
_space_group_name_Hall 'P 1'
_cell_length_a 5.4757
_cell_length_b 8.4979
_cell_length_c 13.9727
_cell_angle_alpha 90.00
_cell_angle_beta 112.76
_cell_angle_gamma 90.00
loop_
_atom_site_label
_atom_site_type_symbol
_atom_site_fract_x
_atom_site_fract_y
_atom_site_fract_z
Sr1 Sr 0.0139 0.1710 0.2254
Sr2 Sr 0.0139 0.3290 0.7254
Sr3 Sr 0.9861 0.6710 0.2746
Sr4 Sr 0.9861 0.8290 0.7746
Cr1 Cr 0.3096 0.6384 0.6043
Cr2 Cr 0.3096 0.8616 0.1043
Cr3 Cr 0.6904 0.1384 0.8957
Cr4 Cr 0.6904 0.3616 0.3957
P1 P 0.3314 0.2120 0.0191
P2 P 0.3314 0.2880 0.5191
P3 P 0.4175 0.0288 0.6721
P4 P 0.4175 0.4712 0.1721
P5 P 0.5825 0.5288 0.8279
P6 P 0.5825 0.9712 0.3279
P7 P 0.6686 0.7120 0.4809
P8 P 0.6686 0.7880 0.9809
O1 O 0.1284 0.2098 0.9080
O2 O 0.1284 0.2902 0.4080
O3 O 0.1957 0.0576 0.7106
O4 O 0.1957 0.4424 0.2106
O5 O 0.2476 0.1072 0.0918
O6 O 0.2476 0.3928 0.5918
O7 O 0.3175 0.6008 0.7573
O8 O 0.3175 0.8992 0.2573
O9 O 0.3309 0.1080 0.5577
O10 O 0.3309 0.3920 0.0577
O11 O 0.3815 0.6733 0.4680
O12 O 0.3815 0.8267 0.9680
O13 O 0.4652 0.6440 0.1557
O14 O 0.4652 0.8560 0.6557
O15 O 0.5348 0.1440 0.3443
O16 O 0.5348 0.3560 0.8443
O17 O 0.6185 0.1733 0.0320
O18 O 0.6185 0.3267 0.5320
O19 O 0.6691 0.6080 0.9423
O20 O 0.6691 0.8920 0.4423
O21 O 0.6825 0.1008 0.7427
O22 O 0.6825 0.3992 0.2427
O23 O 0.7524 0.6072 0.4082
O24 O 0.7524 0.8928 0.9082
O25 O 0.8043 0.5576 0.7894
O26 O 0.8043 0.9424 0.2894
O27 O 0.8716 0.7098 0.5920
O28 O 0.8716 0.7902 0.0920
```

Largest 12 diffraction maxima, by angle, 2θ from 10° to 90°:
13.7°, d 6.442, I = 35.5
26.3°, d 3.388, I = 100.0
26.6°, d 3.357, I = 72.1
27.5°, d 3.247, I = 60.7
28.5°, d 3.133, I = 55.7
29.6°, d 3.019, I = 33.3
30.0°, d 2.975, I = 35.2
32.4°, d 2.767, I = 35.2
32.7°, d 2.738, I = 60.2
33.9°, d 2.646, I = 26.7
43.5°, d 2.082, I = 34.8
44.6°, d 2.032, I = 35.8

This entry pairs a crystal structure of Cr2TeP3O12 with its theoretical X-ray powder pattern. Radiation: copper Kα. Structure: a DFT-relaxed cell (PBE+U, the Materials Project).
Lines closer than 0.1° are merged.

Structure:
```
data_Cr2TeP3O12
_chemical_formula_sum 'Cr4 Te2 P6 O24'
_space_group_name_H-M_alt 'P 1'
_space_group_IT_number 1
_space_group_name_Hall 'P 1'
_cell_length_a 8.9043
_cell_length_b 8.9043
_cell_length_c 8.9043
_cell_angle_alpha 57.57
_cell_angle_beta 57.57
_cell_angle_gamma 57.57
loop_
_atom_site_label
_atom_site_type_symbol
_atom_site_fract_x
_atom_site_fract_y
_atom_site_fract_z
Cr1 Cr 0.1474 0.1474 0.1474
Cr2 Cr 0.3526 0.3526 0.3526
Cr3 Cr 0.6474 0.6474 0.6474
Cr4 Cr 0.8526 0.8526 0.8526
Te1 Te 0.0000 0.0000 0.0000
Te2 Te 0.5000 0.5000 0.5000
P1 P 0.0377 0.7500 0.4623
P2 P 0.2500 0.5377 0.9623
P3 P 0.4623 0.0377 0.7500
P4 P 0.5377 0.9623 0.2500
P5 P 0.7500 0.4623 0.0377
P6 P 0.9623 0.2500 0.5377
O1 O 0.0134 0.7905 0.6206
O2 O 0.0636 0.9222 0.2686
O3 O 0.0778 0.7314 0.9364
O4 O 0.1206 0.2905 0.5134
O5 O 0.2095 0.3794 0.9866
O6 O 0.2314 0.5778 0.4364
O7 O 0.2686 0.0636 0.9222
O8 O 0.2905 0.5134 0.1206
O9 O 0.3794 0.9866 0.2095
O10 O 0.4222 0.5636 0.7686
O11 O 0.4364 0.2314 0.5778
O12 O 0.4866 0.8794 0.7095
O13 O 0.5134 0.1206 0.2905
O14 O 0.5636 0.7686 0.4222
O15 O 0.5778 0.4364 0.2314
O16 O 0.6206 0.0134 0.7905
O17 O 0.7095 0.4866 0.8794
O18 O 0.7314 0.9365 0.0778
O19 O 0.7686 0.4222 0.5636
O20 O 0.7905 0.6206 0.0134
O21 O 0.8794 0.7095 0.4866
O22 O 0.9222 0.2686 0.0636
O23 O 0.9364 0.0778 0.7314
O24 O 0.9866 0.2095 0.3794
```

Largest 12 diffraction maxima, by angle, 2θ from 10° to 90°:
14.3°, d 6.173, I = 23.4
20.7°, d 4.288, I = 100.0
24.0°, d 3.710, I = 64.1
25.3°, d 3.521, I = 28.4
31.9°, d 2.801, I = 93.2
32.9°, d 2.721, I = 22.4
36.3°, d 2.475, I = 36.1
44.0°, d 2.058, I = 18.7
46.0°, d 1.974, I = 28.8
49.1°, d 1.855, I = 33.3
56.8°, d 1.621, I = 24.1
62.6°, d 1.484, I = 23.3

This entry pairs a crystal structure of TiCrP3O12 with its theoretical X-ray powder pattern. Radiation: copper Kα. Structure: a DFT-relaxed cell (PBE+U, the Materials Project).
Lines closer than 0.1° are merged.

Structure:
```
data_TiCrP3O12
_chemical_formula_sum 'Ti2 Cr2 P6 O24'
_space_group_name_H-M_alt 'P 1'
_space_group_IT_number 1
_space_group_name_Hall 'P 1'
_cell_length_a 8.7739
_cell_length_b 8.7739
_cell_length_c 8.7739
_cell_angle_alpha 58.84
_cell_angle_beta 58.84
_cell_angle_gamma 58.84
loop_
_atom_site_label
_atom_site_type_symbol
_atom_site_fract_x
_atom_site_fract_y
_atom_site_fract_z
Ti1 Ti 0.0000 0.0000 0.0000
Ti2 Ti 0.5000 0.5000 0.5000
Cr1 Cr 0.2817 0.2817 0.2817
Cr2 Cr 0.7817 0.7817 0.7817
P1 P 0.1037 0.3968 0.6683
P2 P 0.1683 0.8968 0.6037
P3 P 0.3968 0.6683 0.1037
P4 P 0.6037 0.1683 0.8968
P5 P 0.6683 0.1037 0.3968
P6 P 0.8968 0.6037 0.1683
O1 O 0.0681 0.4201 0.1945
O2 O 0.0745 0.2244 0.8503
O3 O 0.1314 0.3625 0.4989
O4 O 0.1371 0.9318 0.7733
O5 O 0.1945 0.0681 0.4201
O6 O 0.2244 0.8503 0.0745
O7 O 0.2733 0.4318 0.6371
O8 O 0.3503 0.7244 0.5745
O9 O 0.3625 0.4989 0.1314
O10 O 0.4201 0.1945 0.0681
O11 O 0.4318 0.6371 0.2733
O12 O 0.4989 0.1314 0.3625
O13 O 0.5681 0.6945 0.9201
O14 O 0.5745 0.3503 0.7244
O15 O 0.6314 0.9989 0.8625
O16 O 0.6371 0.2733 0.4318
O17 O 0.6945 0.9201 0.5681
O18 O 0.7244 0.5745 0.3503
O19 O 0.7733 0.1371 0.9318
O20 O 0.8503 0.0745 0.2244
O21 O 0.8625 0.6314 0.9989
O22 O 0.9201 0.5681 0.6945
O23 O 0.9318 0.7733 0.1371
O24 O 0.9989 0.8625 0.6314
```

Largest 12 diffraction maxima, by angle, 2θ from 10° to 90°:
14.4°, d 6.148, I = 41.2
20.2°, d 4.386, I = 50.0
20.6°, d 4.310, I = 22.5
24.0°, d 3.701, I = 100.0
29.0°, d 3.074, I = 41.2
32.0°, d 2.798, I = 16.0
32.3°, d 2.769, I = 26.2
36.1°, d 2.488, I = 10.8
46.5°, d 1.954, I = 12.0
53.3°, d 1.720, I = 16.6
56.5°, d 1.629, I = 11.0
62.0°, d 1.498, I = 9.4

This entry pairs a crystal structure of Ti4Cr3P6O24 with its theoretical X-ray powder pattern. Radiation: copper Kα. Structure: a DFT-relaxed cell (PBE+U, the Materials Project).
Lines closer than 0.1° are merged.

Structure:
```
data_Ti4Cr3P6O24
_chemical_formula_sum 'Ti4 Cr3 P6 O24'
_space_group_name_H-M_alt 'P 1'
_space_group_IT_number 1
_space_group_name_Hall 'P 1'
_cell_length_a 6.4565
_cell_length_b 8.1586
_cell_length_c 9.5514
_cell_angle_alpha 106.09
_cell_angle_beta 105.80
_cell_angle_gamma 102.71
loop_
_atom_site_label
_atom_site_type_symbol
_atom_site_fract_x
_atom_site_fract_y
_atom_site_fract_z
Ti1 Ti 0.0306 0.1996 0.0180
Ti2 Ti 0.3938 0.9572 0.6040
Ti3 Ti 0.6062 0.0428 0.3960
Ti4 Ti 0.9694 0.8004 0.9820
Cr1 Cr 0.0000 0.5000 0.5000
Cr2 Cr 0.2711 0.3037 0.7788
Cr3 Cr 0.7289 0.6963 0.2212
P1 P 0.0919 0.1020 0.3383
P2 P 0.2171 0.6430 0.2613
P3 P 0.4127 0.7437 0.8701
P4 P 0.5873 0.2563 0.1299
P5 P 0.7829 0.3570 0.7387
P6 P 0.9081 0.8980 0.6617
O1 O 0.0215 0.6970 0.1653
O2 O 0.0754 0.0547 0.1636
O3 O 0.1249 0.2968 0.4204
O4 O 0.1258 0.0237 0.6597
O5 O 0.1842 0.4453 0.1860
O6 O 0.2153 0.6924 0.4322
O7 O 0.2603 0.7984 0.9628
O8 O 0.2975 0.0458 0.4184
O9 O 0.3005 0.5460 0.7583
O10 O 0.3524 0.2279 0.0088
O11 O 0.4414 0.8586 0.7683
O12 O 0.4514 0.7614 0.2700
O13 O 0.5486 0.2386 0.7300
O14 O 0.5586 0.1414 0.2317
O15 O 0.6476 0.7721 0.9912
O16 O 0.6995 0.4540 0.2417
O17 O 0.7025 0.9542 0.5816
O18 O 0.7397 0.2016 0.0372
O19 O 0.7847 0.3076 0.5678
O20 O 0.8158 0.5547 0.8140
O21 O 0.8742 0.9763 0.3403
O22 O 0.8751 0.7032 0.5796
O23 O 0.9246 0.9453 0.8364
O24 O 0.9785 0.3030 0.8347
```

Largest 12 diffraction maxima, by angle, 2θ from 10° to 90°:
11.9°, d 7.428, I = 21.5
18.4°, d 4.814, I = 20.8
19.6°, d 4.528, I = 18.5
27.1°, d 3.291, I = 20.9
28.3°, d 3.150, I = 42.0
28.8°, d 3.096, I = 26.6
29.2°, d 3.062, I = 84.3
29.4°, d 3.034, I = 100.0
31.6°, d 2.830, I = 18.0
33.2°, d 2.701, I = 17.6
33.9°, d 2.644, I = 18.4
34.7°, d 2.583, I = 21.7